No. 1
Simulated powder diffraction line list
Compound: Tm6ThTl
Radiation: copper Kα
Structure: DFT lattice parameters and positions (GGA-PBE)
Kinematic intensities with the Lorentz-polarization factor, no thermal factor.

Atomic structure:
Cell: 4.881 4.881 9.828 Å, 90.00 90.00 90.00°
Space group P4/mmm (No. 123)
Asymmetric unit:
Tm  0.000  0.000  0.000 [1 per cell]
Tm  0.000  0.000  0.500 [1 per cell]
Tm  0.000  0.500  0.247 [4 per cell]
Th  0.500  0.500  0.500 [1 per cell]
Tl  0.500  0.500  0.000 [1 per cell]

Most intense lines, 2θ from 15° to 90°, by angle:
- 31.7 deg, I 100.0, (1 1 2)
- 36.6 deg, I 17.0, (0 0 4)
- 36.8 deg, I 33.5, (2 0 0)
- 52.9 deg, I 24.0, (2 0 4)
- 53.1 deg, I 11.9, (2 2 0)
- 62.8 deg, I 14.3, (1 1 6)
- 63.1 deg, I 28.3, (3 1 2)
- 66.2 deg, I 12.3, (2 2 4)
- 86.7 deg, I 12.2, (3 1 6)
- 87.0 deg, I 6.1, (3 3 2)

=====

No. 2
Simulated powder diffraction line list
Compound: YThTl
Radiation: copper Kα
Structure: DFT lattice parameters and positions (GGA-PBE)
Kinematic intensities with the Lorentz-polarization factor, no thermal factor.

Atomic structure:
Cell: 4.622 4.622 17.338 Å, 90.00 90.00 90.00°
Space group I4/mmm (No. 139)
Asymmetric unit:
Y  0.000  0.000  0.178 [4 per cell]
Th  0.000  0.500  0.000 [4 per cell]
Tl  0.000  0.000  0.358 [4 per cell]

Most intense lines, 2θ from 15° to 90°, by angle:
- 29.2 deg, I 87.8, (1 1 2)
- 30.9 deg, I 33.3, (0 0 6)
- 34.4 deg, I 100.0, (1 1 4)
- 39.0 deg, I 51.8, (2 0 0)
- 50.6 deg, I 40.1, (2 0 6)
- 56.3 deg, I 18.0, (2 2 0)
- 60.4 deg, I 16.6, (1 1 10)
- 64.7 deg, I 18.9, (3 1 2)
- 65.6 deg, I 15.8, (2 2 6)
- 67.6 deg, I 29.0, (3 1 4)

=====

No. 3
Simulated powder diffraction line list
Compound: Y4ThTl
Radiation: copper Kα
Structure: DFT lattice parameters and positions (GGA-PBE)
Kinematic intensities with the Lorentz-polarization factor, no thermal factor.

Atomic structure:
Cell: 9.016 14.119 6.361 Å, 90.00 111.21 90.00°
Space group C2/c (No. 15)
Asymmetric unit:
Y  0.106  0.187  0.058 [8 per cell]
Y  0.209  0.398  0.357 [8 per cell]
Th  0.000  0.390  0.750 [4 per cell]
Tl  0.000  0.001  0.750 [4 per cell]

Most intense lines, 2θ from 15° to 90°, by angle:
- 21.1 deg, I 34.7, (2 0 0)
- 24.6 deg, I 30.6, (2 2 -1)
- 28.5 deg, I 38.4, (1 3 1)
- 30.6 deg, I 53.9, (3 1 -1)
- 32.6 deg, I 36.3, (2 2 -2)
- 32.8 deg, I 100.0, (2 2 1)
- 33.5 deg, I 83.7, (1 5 0)
- 34.0 deg, I 67.5, (1 3 -2)
- 42.8 deg, I 30.7, (1 5 -2)
- 62.2 deg, I 31.6, (6 0 -2)

=====

No. 4
Simulated powder diffraction line list
Compound: YThTl3
Radiation: copper Kα
Structure: DFT lattice parameters and positions (GGA-PBE)
Kinematic intensities with the Lorentz-polarization factor, no thermal factor.

Atomic structure:
Cell: 7.2676 7.2676 6.6136 Å, 90.00 90.00 120.00°
Space group P6_3/mmc (No. 194)
Asymmetric unit:
Y  0.0000  0.0000  0.0000 [2 per cell]
Th  0.3333  0.6667  0.2500 [2 per cell]
Tl  0.1988  0.3976  0.7500 [6 per cell]

Most intense lines, 2θ from 15° to 90°, by angle:
- 27.0 deg, I 33.7, (0 0 2)
- 28.4 deg, I 13.4, (2 0 0)
- 30.5 deg, I 15.5, (1 0 2)
- 31.5 deg, I 100.0, (2 0 1)
- 37.8 deg, I 13.9, (2 1 0)
- 39.5 deg, I 30.3, (2 0 2)
- 45.4 deg, I 16.4, (3 0 1)
- 50.2 deg, I 15.2, (2 2 0)
- 50.6 deg, I 27.3, (2 0 3)
- 71.3 deg, I 10.7, (3 2 2)

=====

No. 5
Simulated powder diffraction line list
Compound: Y2ThTl4
Radiation: copper Kα
Structure: DFT lattice parameters and positions (GGA-PBE)
Kinematic intensities with the Lorentz-polarization factor, no thermal factor.

Atomic structure:
Cell: 5.238 5.238 7.789 Å, 90.00 90.00 90.00°
Space group P4/mmm (No. 123)
Asymmetric unit:
Y  0.000  0.000  0.000 [1 per cell]
Y  0.500  0.500  0.500 [1 per cell]
Th  0.000  0.000  0.500 [1 per cell]
Tl  0.000  0.500  0.227 [4 per cell]

Most intense lines, 2θ from 15° to 90°, by angle:
- 16.9 deg, I 9.3, (1 0 0)
- 24.0 deg, I 12.7, (1 1 0)
- 26.7 deg, I 14.7, (1 1 1)
- 33.4 deg, I 100.0, (1 1 2)
- 34.2 deg, I 49.4, (2 0 0)
- 46.6 deg, I 8.4, (0 0 4)
- 49.2 deg, I 18.0, (2 2 0)
- 59.1 deg, I 16.7, (2 0 4)
- 60.8 deg, I 36.4, (3 1 2)
- 70.1 deg, I 10.0, (2 2 4)

=====

No. 6
Simulated powder diffraction line list
Compound: ThTlZn
Radiation: copper Kα
Structure: DFT lattice parameters and positions (GGA-PBE)
Kinematic intensities with the Lorentz-polarization factor, no thermal factor.

Atomic structure:
Cell: 4.7743 4.7743 3.8120 Å, 90.00 90.00 120.00°
Space group P3m1 (No. 156)
Asymmetric unit:
Th  0.0000  0.0000  0.0000 [1 per cell]
Tl  0.3333  0.6667  0.5269 [1 per cell]
Zn  0.6667  0.3333  0.4452 [1 per cell]

Most intense lines, 2θ from 15° to 90°, by angle:
- 21.5 deg, I 18.4, (1 0 0)
- 31.9 deg, I 100.0, (1 0 1)
- 37.7 deg, I 55.8, (1 1 0)
- 47.7 deg, I 8.6, (0 0 2)
- 50.2 deg, I 28.9, (0 2 1)
- 62.3 deg, I 23.3, (1 1 2)
- 64.4 deg, I 27.6, (2 1 1)
- 68.0 deg, I 10.1, (3 0 0)
- 87.3 deg, I 9.6, (3 0 2)
- 89.2 deg, I 12.1, (1 3 1)